Computed XRD peak list of MgZn for CuKα, from a structure optimized by DFT (PBE).

Structural model:
abc: 5.737 5.737 6.844
angles: 105.16 105.16 30.70
Fractional positions:
Mg 0.000 0.000 0.000
Mg 0.279 0.279 0.070
Mg 0.611 0.611 0.701
Zn 0.335 0.335 0.657
Zn 0.670 0.670 0.337
Zn 0.942 0.942 0.387

Most intense lines, 10° ≤ 2θ ≤ 90°, in order of falling intensity:
| 2θ/deg | d/Å | intensity |
| --- | --- | --- |
| 39.03 | 2.308 | 100 |
| 39.69 | 2.271 | 86 |
| 13.44 | 6.587 | 84 |
| 37.23 | 2.415 | 68 |
| 34.50 | 2.600 | 47 |
| 39.81 | 2.264 | 44 |
| 41.11 | 2.196 | 38 |
| 63.40 | 1.467 | 28 |
| 67.90 | 1.380 | 24 |
| 32.62 | 2.745 | 22 |
| 35.73 | 2.513 | 19 |
| 51.12 | 1.787 | 16 |